# Li2FeF4
Computed powder diffraction line list, a wavelength of 1.5418 Å. Input: a crystal structure in Alexandria, relaxed with GGA+U.
Peak positions follow from Bragg's law for the DFT cell and can differ from measured ones.

Top 10 peaks for 2θ = 10–80°, by angle:
12.48°, d = 7.095 Å, I = 100; 17.35°, d = 5.110 Å, I = 27; 21.43°, d = 4.147 Å, I = 84; 27.28°, d = 3.269 Å, I = 19; 31.78°, d = 2.816 Å, I = 21; 32.70°, d = 2.739 Å, I = 23; 33.42°, d = 2.681 Å, I = 19; 38.05°, d = 2.365 Å, I = 21; 44.89°, d = 2.019 Å, I = 23; 53.82°, d = 1.703 Å, I = 39

Cell and atoms:
Cell: 8.748 8.748 8.748 Å, 108.39 108.39 108.39°
Fractional coordinates of all 42 atoms:
Li 0.138 0.716 0.847
Li 0.153 0.862 0.284
Li 0.196 0.597 0.473
Li 0.284 0.153 0.862
Li 0.403 0.527 0.804
Li 0.473 0.196 0.597
Li 0.527 0.804 0.403
Li 0.597 0.473 0.196
Li 0.716 0.847 0.138
Li 0.804 0.403 0.527
Li 0.847 0.138 0.716
Li 0.862 0.284 0.153
Fe 0.049 0.206 0.518
Fe 0.206 0.518 0.049
Fe 0.482 0.951 0.794
Fe 0.518 0.049 0.206
Fe 0.794 0.482 0.951
Fe 0.951 0.794 0.482
F 0.033 0.062 0.685
F 0.033 0.354 0.381
F 0.062 0.685 0.033
F 0.144 0.467 0.788
F 0.212 0.856 0.533
F 0.289 0.624 0.312
F 0.312 0.289 0.624
F 0.315 0.967 0.938
F 0.354 0.381 0.033
F 0.376 0.688 0.711
F 0.381 0.033 0.354
F 0.467 0.788 0.144
F 0.533 0.212 0.856
F 0.619 0.967 0.646
F 0.624 0.312 0.289
F 0.646 0.619 0.967
F 0.685 0.033 0.062
F 0.688 0.711 0.376
F 0.711 0.376 0.688
F 0.788 0.144 0.467
F 0.856 0.533 0.212
F 0.938 0.315 0.967
F 0.967 0.646 0.619
F 0.967 0.938 0.315